Calculated PXRD pattern of Rb2TmBeO4 for CuKα, from the GGA-PBE geometry in Alexandria.

Cell and atoms:
```
data_Rb2TmBeO4
_chemical_formula_sum 'Rb16 Tm8 Be8 O32'
_symmetry_space_group_name_H-M 'F d d d'
_symmetry_Int_Tables_number 70
_cell_length_a 5.043
_cell_length_b 12.018
_cell_length_c 22.911
_cell_angle_alpha 90.00
_cell_angle_beta 90.00
_cell_angle_gamma 90.00
loop_
_symmetry_equiv_pos_as_xyz
'x,y,z'
'-x,-y,-z'
'-x+1/4,-y+1/4,z'
'x+1/4,y+1/4,-z'
'x,-y+1/4,-z+1/4'
'-x,y+1/4,z+1/4'
'-x+1/4,y,-z+1/4'
'x+1/4,-y,z+1/4'
'x,y+1/2,z+1/2'
'-x,-y+1/2,-z+1/2'
'-x+1/4,-y+3/4,z+1/2'
'x+1/4,y+3/4,-z+1/2'
'x,-y+3/4,-z+3/4'
'-x,y+3/4,z+3/4'
'-x+1/4,y+1/2,-z+3/4'
'x+1/4,-y+1/2,z+3/4'
'x+1/2,y,z+1/2'
'-x+1/2,-y,-z+1/2'
'-x+3/4,-y+1/4,z+1/2'
'x+3/4,y+1/4,-z+1/2'
'x+1/2,-y+1/4,-z+3/4'
'-x+1/2,y+1/4,z+3/4'
'-x+3/4,y,-z+3/4'
'x+3/4,-y,z+3/4'
'x+1/2,y+1/2,z'
'-x+1/2,-y+1/2,-z'
'-x+3/4,-y+3/4,z'
'x+3/4,y+3/4,-z'
'x+1/2,-y+3/4,-z+1/4'
'-x+1/2,y+3/4,z+1/4'
'-x+3/4,y+1/2,-z+1/4'
'x+3/4,-y+1/2,z+1/4'
loop_
_atom_site_label
_atom_site_fract_x
_atom_site_fract_y
_atom_site_fract_z
Rb1 0.125 0.125 0.303
Tm1 0.125 0.125 0.125
Be1 0.125 0.125 0.625
O1 0.067 0.291 0.834
```

The 10 most intense peaks (15° ≤ 2θ ≤ 90°), low angle first:
- 15.47°, rel. 53
- 16.66°, rel. 30
- 19.48°, rel. 89
- 27.32°, rel. 61
- 27.68°, rel. 100
- 28.73°, rel. 53
- 29.73°, rel. 36
- 34.66°, rel. 63
- 38.73°, rel. 38
- 53.14°, rel. 32